1.
Computed powder X-ray diffraction pattern of LiCr4Fe for copper Kα, from a DFT-relaxed cell (PBE, Alexandria).
Lines closer than 0.1° are merged.

Principal peaks in the range 2θ from 10° to 90°, by angle:
| 2θ/deg | I_rel |
| --- | --- |
| 23.2 | 46 |
| 26.9 | 15 |
| 38.4 | 14 |
| 45.3 | 100 |
| 47.5 | 57 |
| 55.4 | 11 |
| 74.3 | 27 |
| 82.2 | 23 |

Crystal structure
Cell lengths 4.6901, 4.6901, 4.6901 Å; angles 60.00, 60.00, 60.00 degrees
Atoms (fractional coordinates):
1 Li 0.0000 0.0000 0.0000
2 Cr 0.1213 0.6262 0.6262
3 Cr 0.6262 0.1213 0.6262
4 Cr 0.6262 0.6262 0.1213
5 Cr 0.6262 0.6262 0.6262
6 Fe 0.2500 0.2500 0.2500


2.
Computed powder X-ray diffraction pattern of Li3CrFe for copper Kα, from a DFT-relaxed cell (PBE, Alexandria).
Lines closer than 0.1° are merged.

Principal peaks in the range 2θ from 10° to 90°, by angle:
| 2θ/deg | I_rel |
| --- | --- |
| 26.6 | 100 |
| 38.0 | 26 |
| 47.0 | 38 |
| 54.9 | 17 |
| 62.0 | 15 |
| 68.7 | 5 |
| 75.1 | 16 |
| 87.5 | 8 |

Crystal structure
Cell lengths 4.7317, 4.7317, 4.7317 Å; angles 90.00, 90.00, 90.00 degrees
Atoms (fractional coordinates):
1 Li 0.0000 0.0000 0.5000
2 Li 0.0000 0.5000 0.0000
3 Li 0.5000 0.0000 0.0000
4 Cr 0.0000 0.0000 0.0000
5 Fe 0.5000 0.5000 0.5000